TbErNi: computed PXRD pattern (λ = 1.5418 Å (Cu Kα)), based on a DFT-relaxed cell (GGA-PBE, Alexandria).

The 8 most intense peaks (10 to 90 degrees two-theta), most intense first:
Position (°2θ)  d/Å  I (rel.)
32.79  2.731  100.0
29.50  3.028  68.6
32.14  2.785  45.3
30.57  2.924  44.7
46.73  1.944  43.0
33.86  2.648  43.0
36.42  2.467  36.0
32.45  2.759  26.9

Structure:
a b c (Å): 7.0495 7.0495 5.6692
angles (deg): 100.35 100.35 32.01
Positions (direct):
1 Tb 0.1528 0.1528 0.3146
2 Tb 0.8472 0.8472 0.6854
3 Er 0.4173 0.4173 0.2167
4 Er 0.5827 0.5827 0.7833
5 Ni 0.2312 0.2312 0.8632
6 Ni 0.7688 0.7688 0.1368